[1]
Structure and simulated powder diffraction line list of Li2InHg7 (the GGA-PBE geometry in Alexandria; Cu Ka).

Structure:
```
data_Li2InHg7
_chemical_formula_sum 'Li2 In1 Hg7'
_space_group_name_H-M_alt 'P 1'
_space_group_IT_number 1
_cell_length_a 4.811
_cell_length_b 4.811
_cell_length_c 12.136
_cell_angle_alpha 90.00
_cell_angle_beta 90.00
_cell_angle_gamma 120.00
loop_
_space_group_symop_operation_xyz
'x,y,z'
loop_
_atom_site_label
_atom_site_type_symbol
_atom_site_fract_x
_atom_site_fract_y
_atom_site_fract_z
_atom_site_occupancy
Li1 Li 0.000 0.000 0.000 1
Li2 Li 0.333 0.667 0.841 1
In1 In 0.667 0.333 0.328 1
Hg1 Hg 0.000 0.000 0.222 1
Hg2 Hg 0.000 0.000 0.530 1
Hg3 Hg 0.000 0.000 0.779 1
Hg4 Hg 0.333 0.667 0.089 1
Hg5 Hg 0.333 0.667 0.437 1
Hg6 Hg 0.667 0.333 0.660 1
Hg7 Hg 0.667 0.333 0.936 1
```

Principal peaks in the range 2θ = 15–90°, by angle:
Position (°2θ)  d (Å)  Rel. int.
22.6  3.941  27
25.9  3.435  29
30.8  2.902  100
36.6  2.453  41
37.4  2.405  93
43.1  2.097  16
49.2  1.852  28
53.3  1.717  14
63.4  1.467  26
67.0  1.398  14
67.4  1.389  17
87.9  1.111  11



[2]
Structure and simulated powder diffraction line list of Al2Se3O12 (the GGA-PBE geometry in Alexandria; Cu Ka).

Structure:
```
data_Al2Se3O12
_chemical_formula_sum 'Al4 Se6 O24'
_space_group_name_H-M_alt 'P 1'
_space_group_IT_number 1
_cell_length_a 8.973
_cell_length_b 8.973
_cell_length_c 8.973
_cell_angle_alpha 56.08
_cell_angle_beta 56.08
_cell_angle_gamma 56.08
loop_
_space_group_symop_operation_xyz
'x,y,z'
loop_
_atom_site_label
_atom_site_type_symbol
_atom_site_fract_x
_atom_site_fract_y
_atom_site_fract_z
_atom_site_occupancy
Al1 Al 0.143 0.143 0.143 1
Al2 Al 0.351 0.351 0.351 1
Al3 Al 0.649 0.649 0.649 1
Al4 Al 0.857 0.857 0.857 1
Se1 Se 0.034 0.462 0.751 1
Se2 Se 0.249 0.966 0.538 1
Se3 Se 0.462 0.751 0.034 1
Se4 Se 0.538 0.249 0.966 1
Se5 Se 0.751 0.034 0.462 1
Se6 Se 0.966 0.538 0.249 1
O1 O 0.014 0.631 0.794 1
O2 O 0.100 0.879 0.755 1
O3 O 0.121 0.245 0.900 1
O4 O 0.180 0.519 0.211 1
O5 O 0.188 0.487 0.525 1
O6 O 0.206 0.986 0.369 1
O7 O 0.211 0.180 0.519 1
O8 O 0.245 0.900 0.121 1
O9 O 0.369 0.206 0.986 1
O10 O 0.475 0.812 0.513 1
O11 O 0.481 0.789 0.820 1
O12 O 0.487 0.525 0.188 1
O13 O 0.513 0.475 0.812 1
O14 O 0.519 0.211 0.180 1
O15 O 0.525 0.188 0.487 1
O16 O 0.631 0.794 0.014 1
O17 O 0.755 0.100 0.879 1
O18 O 0.789 0.820 0.481 1
O19 O 0.794 0.014 0.631 1
O20 O 0.812 0.513 0.475 1
O21 O 0.820 0.481 0.789 1
O22 O 0.879 0.755 0.100 1
O23 O 0.900 0.121 0.245 1
O24 O 0.986 0.369 0.206 1
```

Principal peaks in the range 2θ = 15–90°, by angle:
Position (°2θ)  d (Å)  Rel. int.
23.6  3.768  20
24.2  3.681  100
29.1  3.068  13
31.8  2.810  19
32.7  2.741  14
36.9  2.435  8
41.9  2.158  16
44.3  2.045  8
49.5  1.840  6
61.5  1.509  5
65.8  1.420  9
88.4  1.106  5



[3]
Structure and simulated powder diffraction line list of AcLaRhN2 (the GGA-PBE geometry in Alexandria; Cu Ka).

Structure:
```
data_AcLaRhN2
_chemical_formula_sum 'Ac2 La2 Rh2 N4'
_space_group_name_H-M_alt 'P 1'
_space_group_IT_number 1
_cell_length_a 5.826
_cell_length_b 4.968
_cell_length_c 6.959
_cell_angle_alpha 90.00
_cell_angle_beta 97.98
_cell_angle_gamma 90.00
loop_
_space_group_symop_operation_xyz
'x,y,z'
loop_
_atom_site_label
_atom_site_type_symbol
_atom_site_fract_x
_atom_site_fract_y
_atom_site_fract_z
_atom_site_occupancy
Ac1 Ac 0.000 0.092 0.250 1
Ac2 Ac 0.000 0.908 0.750 1
La1 La 0.500 0.472 0.750 1
La2 La 0.500 0.528 0.250 1
Rh1 Rh 0.500 0.000 0.000 1
Rh2 Rh 0.500 0.000 0.500 1
N1 N 0.233 0.276 0.981 1
N2 N 0.233 0.724 0.481 1
N3 N 0.767 0.276 0.519 1
N4 N 0.767 0.724 0.019 1
```

Principal peaks in the range 2θ = 15–90°, by angle:
Position (°2θ)  d (Å)  Rel. int.
17.9  4.968  29
23.6  3.765  60
25.9  3.443  41
28.0  3.185  26
31.0  2.885  65
33.6  2.665  100
36.2  2.484  20
36.9  2.434  78
38.5  2.337  24
48.4  1.882  24
54.5  1.683  28
61.3  1.513  19



[4]
Structure and simulated powder diffraction line list of Ni4RuW (the GGA-PBE geometry in Alexandria; Cu Ka).

Structure:
```
data_Ni4RuW
_chemical_formula_sum 'Ni4 Ru1 W1'
_space_group_name_H-M_alt 'P 1'
_space_group_IT_number 1
_cell_length_a 5.646
_cell_length_b 5.646
_cell_length_c 3.714
_cell_angle_alpha 90.00
_cell_angle_beta 90.00
_cell_angle_gamma 141.64
loop_
_space_group_symop_operation_xyz
'x,y,z'
loop_
_atom_site_label
_atom_site_type_symbol
_atom_site_fract_x
_atom_site_fract_y
_atom_site_fract_z
_atom_site_occupancy
Ni1 Ni 0.169 0.831 0.000 1
Ni2 Ni 0.329 0.671 0.500 1
Ni3 Ni 0.671 0.329 0.500 1
Ni4 Ni 0.831 0.169 0.000 1
Ru1 Ru 0.000 0.000 0.500 1
W1 W 0.500 0.500 0.000 1
```

Principal peaks in the range 2θ = 15–90°, by angle:
Position (°2θ)  d (Å)  Rel. int.
16.6  5.332  19
25.4  3.504  4
33.6  2.666  5
35.2  2.549  15
42.8  2.111  100
49.1  1.856  33
51.4  1.777  14
52.2  1.753  4
60.8  1.523  4
72.0  1.312  10
73.8  1.284  19
87.5  1.115  24



[5]
Structure and simulated powder diffraction line list of Ti2NiIr (the GGA-PBE geometry in Alexandria; Cu Ka).

Structure:
```
data_Ti2NiIr
_chemical_formula_sum 'Ti4 Ni2 Ir2'
_space_group_name_H-M_alt 'P 1'
_space_group_IT_number 1
_cell_length_a 6.259
_cell_length_b 5.347
_cell_length_c 5.314
_cell_angle_alpha 71.91
_cell_angle_beta 54.29
_cell_angle_gamma 53.80
loop_
_space_group_symop_operation_xyz
'x,y,z'
loop_
_atom_site_label
_atom_site_type_symbol
_atom_site_fract_x
_atom_site_fract_y
_atom_site_fract_z
_atom_site_occupancy
Ti1 Ti 0.237 0.763 0.763 1
Ti2 Ti 0.250 0.250 0.250 1
Ti3 Ti 0.750 0.750 0.750 1
Ti4 Ti 0.763 0.237 0.237 1
Ni1 Ni 0.278 0.278 0.722 1
Ni2 Ni 0.722 0.722 0.278 1
Ir1 Ir 0.253 0.747 0.253 1
Ir2 Ir 0.747 0.253 0.747 1
```

Principal peaks in the range 2θ = 15–90°, by angle:
Position (°2θ)  d (Å)  Rel. int.
20.0  4.446  23
20.2  4.406  21
28.5  3.130  28
30.1  2.971  13
36.4  2.470  10
36.5  2.463  9
40.6  2.223  26
41.0  2.203  27
41.9  2.155  100
59.0  1.565  16
74.8  1.270  14
75.3  1.262  17



[6]
Structure and simulated powder diffraction line list of CuRe2Se (the GGA-PBE geometry in Alexandria; Cu Ka).

Structure:
```
data_CuRe2Se
_chemical_formula_sum 'Cu1 Re2 Se1'
_space_group_name_H-M_alt 'P 1'
_space_group_IT_number 1
_cell_length_a 5.102
_cell_length_b 5.102
_cell_length_c 2.893
_cell_angle_alpha 103.33
_cell_angle_beta 103.33
_cell_angle_gamma 116.88
loop_
_space_group_symop_operation_xyz
'x,y,z'
loop_
_atom_site_label
_atom_site_type_symbol
_atom_site_fract_x
_atom_site_fract_y
_atom_site_fract_z
_atom_site_occupancy
Cu1 Cu 0.000 0.000 0.000 1
Re1 Re 0.000 0.500 0.500 1
Re2 Re 0.500 0.000 0.500 1
Se1 Se 0.500 0.500 0.000 1
```

Principal peaks in the range 2θ = 15–90°, by angle:
Position (°2θ)  d (Å)  Rel. int.
20.4  4.347  50
38.3  2.352  58
40.5  2.229  100
41.5  2.174  46
43.1  2.099  84
43.8  2.069  15
57.8  1.596  35
68.8  1.365  21
74.3  1.276  17
75.1  1.265  16
76.9  1.240  15
78.6  1.217  14



[7]
Structure and simulated powder diffraction line list of KHgRu (the GGA-PBE geometry in Alexandria; Cu Ka).

Structure:
```
data_KHgRu
_chemical_formula_sum 'K1 Hg1 Ru1'
_space_group_name_H-M_alt 'P 1'
_space_group_IT_number 1
_cell_length_a 6.521
_cell_length_b 6.521
_cell_length_c 6.521
_cell_angle_alpha 154.10
_cell_angle_beta 139.53
_cell_angle_gamma 48.68
loop_
_space_group_symop_operation_xyz
'x,y,z'
loop_
_atom_site_label
_atom_site_type_symbol
_atom_site_fract_x
_atom_site_fract_y
_atom_site_fract_z
_atom_site_occupancy
K1 K 0.000 0.000 0.000 1
Hg1 Hg 0.277 0.277 0.000 1
Ru1 Ru 0.726 0.726 0.000 1
```

Principal peaks in the range 2θ = 15–90°, by angle:
Position (°2θ)  d (Å)  Rel. int.
21.1  4.218  24
30.1  2.974  100
36.6  2.453  85
38.3  2.352  25
39.8  2.267  72
40.0  2.256  33
42.9  2.109  29
43.0  2.103  17
48.1  1.892  55
50.8  1.797  23
56.5  1.628  16
58.1  1.589  19



[8]
Structure and simulated powder diffraction line list of NaMnTe2Au (the GGA-PBE geometry in Alexandria; Cu Ka).

Structure:
```
data_NaMnTe2Au
_chemical_formula_sum 'Na2 Mn2 Te4 Au2'
_space_group_name_H-M_alt 'P 1'
_space_group_IT_number 1
_cell_length_a 7.333
_cell_length_b 5.339
_cell_length_c 7.551
_cell_angle_alpha 90.00
_cell_angle_beta 101.35
_cell_angle_gamma 90.00
loop_
_space_group_symop_operation_xyz
'x,y,z'
loop_
_atom_site_label
_atom_site_type_symbol
_atom_site_fract_x
_atom_site_fract_y
_atom_site_fract_z
_atom_site_occupancy
Na1 Na 0.000 0.127 0.250 1
Na2 Na 0.000 0.873 0.750 1
Mn1 Mn 0.500 0.458 0.750 1
Mn2 Mn 0.500 0.542 0.250 1
Te1 Te 0.235 0.337 0.968 1
Te2 Te 0.235 0.663 0.468 1
Te3 Te 0.765 0.337 0.532 1
Te4 Te 0.765 0.663 0.032 1
Au1 Au 0.500 0.000 0.000 1
Au2 Au 0.500 0.000 0.500 1
```

Principal peaks in the range 2θ = 15–90°, by angle:
Position (°2θ)  d (Å)  Rel. int.
20.7  4.286  33
22.7  3.914  48
24.0  3.702  76
24.8  3.591  35
25.2  3.534  65
30.0  2.981  100
33.8  2.652  59
35.4  2.533  62
35.9  2.502  31
41.9  2.157  35
42.2  2.143  42
50.8  1.797  31



[9]
Structure and simulated powder diffraction line list of IrOsRh4 (the GGA-PBE geometry in Alexandria; Cu Ka).

Structure:
```
data_IrOsRh4
_chemical_formula_sum 'Ir2 Os2 Rh8'
_space_group_name_H-M_alt 'P 1'
_space_group_IT_number 1
_cell_length_a 5.140
_cell_length_b 6.232
_cell_length_c 6.539
_cell_angle_alpha 116.33
_cell_angle_beta 96.59
_cell_angle_gamma 102.25
loop_
_space_group_symop_operation_xyz
'x,y,z'
loop_
_atom_site_label
_atom_site_type_symbol
_atom_site_fract_x
_atom_site_fract_y
_atom_site_fract_z
_atom_site_occupancy
Ir1 Ir 0.215 0.154 0.492 1
Ir2 Ir 0.785 0.846 0.508 1
Os1 Os 0.216 0.434 0.939 1
Os2 Os 0.784 0.566 0.061 1
Rh1 Rh 0.054 0.794 0.848 1
Rh2 Rh 0.216 0.699 0.402 1
Rh3 Rh 0.490 0.365 0.267 1
Rh4 Rh 0.497 0.091 0.824 1
Rh5 Rh 0.503 0.909 0.176 1
Rh6 Rh 0.510 0.635 0.733 1
Rh7 Rh 0.784 0.301 0.598 1
Rh8 Rh 0.946 0.206 0.152 1
```

Principal peaks in the range 2θ = 15–90°, by angle:
Position (°2θ)  d (Å)  Rel. int.
16.4  5.403  26
38.0  2.369  48
39.4  2.286  23
40.3  2.237  36
41.8  2.162  100
42.2  2.143  33
42.3  2.134  59
42.7  2.118  59
43.2  2.095  33
45.3  2.003  41
51.8  1.764  18
80.1  1.199  19



[10]
Structure and simulated powder diffraction line list of LuInBi2 (the GGA-PBE geometry in Alexandria; Cu Ka).

Structure:
```
data_LuInBi2
_chemical_formula_sum 'Lu1 In1 Bi2'
_space_group_name_H-M_alt 'P 1'
_space_group_IT_number 1
_cell_length_a 5.095
_cell_length_b 5.095
_cell_length_c 4.376
_cell_angle_alpha 90.00
_cell_angle_beta 90.00
_cell_angle_gamma 90.00
loop_
_space_group_symop_operation_xyz
'x,y,z'
loop_
_atom_site_label
_atom_site_type_symbol
_atom_site_fract_x
_atom_site_fract_y
_atom_site_fract_z
_atom_site_occupancy
Lu1 Lu 0.000 0.000 0.000 1
In1 In 0.500 0.500 0.000 1
Bi1 Bi 0.000 0.500 0.500 1
Bi2 Bi 0.500 0.000 0.500 1
```

Principal peaks in the range 2θ = 15–90°, by angle:
Position (°2θ)  d (Å)  Rel. int.
32.2  2.781  100
35.2  2.547  39
41.3  2.188  13
50.7  1.801  14
55.3  1.660  22
61.3  1.512  32
67.3  1.391  12
69.5  1.352  11
74.5  1.274  5
83.5  1.158  7
85.2  1.139  7
88.9  1.101  6



[11]
Structure and simulated powder diffraction line list of Be4IrAu3 (the GGA-PBE geometry in Alexandria; Cu Ka).

Structure:
```
data_Be4IrAu3
_chemical_formula_sum 'Be4 Ir1 Au3'
_space_group_name_H-M_alt 'P 1'
_space_group_IT_number 1
_cell_length_a 2.912
_cell_length_b 2.912
_cell_length_c 11.851
_cell_angle_alpha 90.00
_cell_angle_beta 90.00
_cell_angle_gamma 90.00
loop_
_space_group_symop_operation_xyz
'x,y,z'
loop_
_atom_site_label
_atom_site_type_symbol
_atom_site_fract_x
_atom_site_fract_y
_atom_site_fract_z
_atom_site_occupancy
Be1 Be 0.000 0.000 0.103 1
Be2 Be 0.000 0.000 0.372 1
Be3 Be 0.000 0.000 0.628 1
Be4 Be 0.000 0.000 0.897 1
Ir1 Ir 0.500 0.500 0.000 1
Au1 Au 0.500 0.500 0.244 1
Au2 Au 0.500 0.500 0.500 1
Au3 Au 0.500 0.500 0.756 1
```

Principal peaks in the range 2θ = 15–90°, by angle:
Position (°2θ)  d (Å)  Rel. int.
30.2  2.963  52
30.7  2.912  100
43.6  2.077  87
44.0  2.059  43
54.3  1.691  42
62.7  1.481  7
63.9  1.456  14
71.4  1.320  18
72.3  1.307  18
72.6  1.302  18
79.7  1.202  15
80.6  1.192  30